For Li4Mn2Fe3Cu3O16, a PBE+U-relaxed structure gives the computed X-ray diffraction stick pattern in this record (Cu Kα (weighted mean of Kα1 and Kα2)).
No peak broadening, texture or thermal motion is included.

Atomic structure:
Unit cell a=5.7600 b=5.9104 c=9.4454 alpha=90.18 beta=90.49 gamma=118.74
Fractional coordinates of all 28 atoms:
Li 0.0000 0.0000 0.0000
Li 0.0150 0.0354 0.4968
Li 0.3286 0.7087 0.5892
Li 0.6476 0.3267 0.0885
Mn 0.3216 0.6530 0.0047
Mn 0.6749 0.3787 0.5060
Fe 0.6568 0.8614 0.2787
Fe 0.8181 0.1763 0.7768
Fe 0.8278 0.6728 0.7767
Cu 0.1517 0.8324 0.2748
Cu 0.1830 0.3603 0.2771
Cu 0.3341 0.1943 0.7763
O 0.0064 0.0078 0.6890
O 0.0148 0.0290 0.1928
O 0.0310 0.4758 0.1339
O 0.1204 0.7893 0.9041
O 0.1625 0.3268 0.8945
O 0.3119 0.6736 0.3774
O 0.3468 0.2297 0.4020
O 0.4395 0.9528 0.1425
O 0.5059 0.0829 0.6421
O 0.5131 0.5585 0.1381
O 0.5631 0.5635 0.6338
O 0.6505 0.3537 0.8782
O 0.6546 0.8407 0.8882
O 0.8031 0.1774 0.4011
O 0.8483 0.7016 0.3926
O 0.9627 0.5003 0.6501

Largest 12 diffraction maxima, sorted by position, 2θ from 10° to 80°:
d/Å	two_theta	I/Imax
4.722	18.79	100
4.559	19.47	24
4.527	19.61	24
4.475	19.84	28
4.432	20.03	90
2.527	35.52	31
2.506	35.83	39
2.501	35.90	26
2.448	36.71	32
2.430	37.00	28
1.959	46.35	36
1.521	60.92	23